The following is a simulated X-ray powder pattern of Li2V5NiO12. It was derived from the GGA+U geometry in Alexandria, using copper Kα.
Peak positions follow from Bragg's law for the DFT cell and can differ from measured ones.

Crystal structure
Unit cell a=10.8940 b=8.5070 c=5.6526 alpha=90.00 beta=112.49 gamma=90.00
Space group C2 (No. 5)
Symmetry-distinct sites (fractional):
Li: 0.0000 0.0000 0.0000
Li: 0.0000 0.4402 0.5000
V: 0.0000 0.6381 0.0000
V: 0.2162 0.1270 0.5153
V: 0.2297 0.3307 0.0523
Ni: 0.0000 0.8076 0.5000
O: 0.0866 0.8214 0.8931
O: 0.1086 0.6298 0.3928
O: 0.1226 0.5104 0.9445
O: 0.1441 0.1654 0.1850
O: 0.1560 0.2578 0.6798
O: 0.1734 0.9369 0.5650

Principal peaks in the range 2θ from 15° to 90°, by angle:
2θ 18.99, intensity 22
2θ 20.88, intensity 12
2θ 28.57, intensity 100
2θ 34.34, intensity 22
2θ 35.98, intensity 15
2θ 40.28, intensity 16
2θ 53.00, intensity 16
2θ 60.01, intensity 13